The following is a simulated XRD peak list of RbNb4Br11. It was derived from the GGA-PBE geometry in OQMD, using Cu Kα (λ = 1.5418 Å).
Kinematic intensities with the Lorentz-polarization factor, no thermal factor.

Structural model:
Unit cell a=16.9976 b=7.3393 c=7.0577 alpha=90.00 beta=90.00 gamma=90.00
Space group Pmma (No. 51)
Symmetry-distinct sites (fractional):
Rb 0.2500 0.0000 0.0020 x2
Nb 0.0000 0.2914 0.5000 x4
Nb 0.1393 0.5000 0.3807 x4
Br 0.0793 0.2443 0.1792 x8
Br 0.0847 0.0000 0.6409 x4
Br 0.0858 0.5000 0.7224 x4
Br 0.2500 0.2634 0.5181 x4
Br 0.2500 0.5000 0.0867 x2

Largest 6 diffraction maxima, by angle, 10° ≤ 2θ ≤ 80°:
2θ = 12.1°, intensity 340, hkl 0 1 0; 2θ = 12.5°, intensity 594, hkl 0 0 1; 2θ = 31.7°, intensity 785, hkl 3 2 1; 2θ = 33.0°, intensity 441, hkl 4 0 2; 2θ = 34.7°, intensity 1000, hkl 4 2 1; 2θ = 45.8°, intensity 508, hkl 0 2 3

The following is a simulated XRD peak list of Zn2Cu9. It was derived from the GGA-PBE geometry in OQMD, using Cu Kα (λ = 1.5418 Å).
Kinematic intensities with the Lorentz-polarization factor, no thermal factor.

Structural model:
Unit cell a=2.5494 b=2.5494 c=30.5954 alpha=90.00 beta=90.00 gamma=120.00
Space group P-3m1 (No. 164)
Symmetry-distinct sites (fractional):
Zn 0.3333 0.6667 0.3461 x2
Cu 0.0000 0.0000 0.0000 x1
Cu 0.0000 0.0000 0.2037 x2
Cu 0.3333 0.6667 0.1357 x2
Cu 0.3333 0.6667 0.7283 x2
Cu 0.3333 0.6667 0.9323 x2

Largest 6 diffraction maxima, by angle, 10° ≤ 2θ ≤ 80°:
2θ = 42.6°, intensity 204, hkl 1 0 4; 2θ = 43.6°, intensity 1000, hkl 1 0 5; 2θ = 44.4°, intensity 229, hkl 0 0 15; 2θ = 49.2°, intensity 219, hkl 0 1 9; 2θ = 51.0°, intensity 537, hkl 0 1 10; 2θ = 74.4°, intensity 217, hkl 1 1 0

The following is a simulated XRD peak list of SnGeIr2. It was derived from the GGA-PBE geometry in OQMD, using Cu Kα (λ = 1.5418 Å).
Kinematic intensities with the Lorentz-polarization factor, no thermal factor.

Structural model:
Unit cell a=3.8458 b=5.7368 c=6.4656 alpha=90.00 beta=90.00 gamma=90.00
Space group Pmn2_1 (No. 31)
Symmetry-distinct sites (fractional):
Sn 0.0000 0.0436 0.0000 x2
Ge 0.0000 0.5486 0.3252 x2
Ir 0.0000 0.2602 0.6279 x2
Ir 0.0000 0.7288 0.6962 x2

Largest 6 diffraction maxima, by angle, 10° ≤ 2θ ≤ 80°:
2θ = 27.0°, intensity 563, hkl 1 0 1; 2θ = 31.2°, intensity 423, hkl 0 2 0; 2θ = 41.7°, intensity 1000, hkl 1 2 1; 2θ = 42.1°, intensity 410, hkl 0 2 2; 2θ = 47.3°, intensity 287, hkl 2 0 0; 2θ = 48.4°, intensity 402, hkl 1 0 3

The following is a simulated XRD peak list of Co7W5. It was derived from the GGA-PBE geometry in OQMD, using Cu Kα (λ = 1.5418 Å).
Kinematic intensities with the Lorentz-polarization factor, no thermal factor.

Structural model:
Unit cell a=4.9535 b=4.9535 c=15.4431 alpha=90.00 beta=90.00 gamma=120.00
Space group P6_3/mmc (No. 194)
Symmetry-distinct sites (fractional):
Co 0.0000 0.0000 0.0866 x4
Co 0.0000 0.5000 0.0000 x6
Co 0.3333 0.6667 0.1169 x4
W 0.1650 0.3300 0.2500 x6
W 0.3333 0.6667 0.6464 x4

Largest 6 diffraction maxima, by angle, 10° ≤ 2θ ≤ 80°:
2θ = 11.5°, intensity 1000, hkl 0 0 2; 2θ = 35.8°, intensity 499, hkl 1 0 5; 2θ = 42.6°, intensity 778, hkl 2 0 1; 2θ = 43.4°, intensity 964, hkl 1 1 4; 2θ = 43.8°, intensity 522, hkl 2 0 2; 2θ = 70.2°, intensity 447, hkl 3 0 4

The following is a simulated XRD peak list of Rb2ZnSn3S8. It was derived from the GGA-PBE geometry in OQMD, using Cu Kα (λ = 1.5418 Å).
Kinematic intensities with the Lorentz-polarization factor, no thermal factor.

Structural model:
Unit cell a=7.4422 b=8.2423 c=15.4146 alpha=94.07 beta=92.83 gamma=113.58
Space group P-1 (No. 2)
Symmetry-distinct sites (fractional):
Rb 0.1267 0.2307 0.1426 x2
Rb 0.1485 0.8136 0.5203 x2
Zn 0.2272 0.7496 0.2639 x2
Sn 0.2502 0.2225 0.7510 x2
Sn 0.4207 0.4989 0.3950 x2
Sn 0.4545 0.8356 0.0636 x2
S 0.0793 0.9428 0.3104 x2
S 0.1111 0.4943 0.3465 x2
S 0.1542 0.6469 0.1153 x2
S 0.2632 0.2418 0.9116 x2
S 0.3855 0.2610 0.4906 x2
S 0.3863 0.5366 0.7208 x2
S 0.4298 0.8402 0.9039 x2
S 0.4398 0.0678 0.6981 x2

Largest 6 diffraction maxima, by angle, 10° ≤ 2θ ≤ 80°:
2θ = 13.6°, intensity 1000, hkl 0 1 1; 2θ = 14.8°, intensity 399, hkl -1 1 1; 2θ = 24.9°, intensity 549, hkl 2 -1 1; 2θ = 27.2°, intensity 302, hkl 0 1 4; 2θ = 29.1°, intensity 271, hkl -2 1 3; 2θ = 30.4°, intensity 397, hkl 0 1 -5

The following is a simulated XRD peak list of DyYCu2Pb. It was derived from the GGA-PBE geometry in OQMD, using Cu Kα (λ = 1.5418 Å).
Kinematic intensities with the Lorentz-polarization factor, no thermal factor.

Structural model:
Unit cell a=3.6637 b=4.2351 c=14.0208 alpha=90.00 beta=90.00 gamma=90.00
Space group Amm2 (No. 38)
Symmetry-distinct sites (fractional):
Dy 0.0000 0.0000 0.0000 x2
Y 0.0000 0.0000 0.7310 x2
Cu 0.5000 0.0000 0.1610 x2
Cu 0.5000 0.0000 0.5682 x2
Pb 0.5000 0.0000 0.3649 x2

Largest 6 diffraction maxima, by angle, 10° ≤ 2θ ≤ 80°:
2θ = 28.4°, intensity 398, hkl 0 1 3; 2θ = 33.0°, intensity 1000, hkl 1 1 1; 2θ = 35.4°, intensity 607, hkl 1 0 4; 2θ = 38.5°, intensity 512, hkl 0 1 5; 2θ = 42.7°, intensity 252, hkl 0 2 0; 2θ = 56.7°, intensity 444, hkl 1 2 4

The following is a simulated XRD peak list of IrO3. It was derived from the GGA-PBE geometry in OQMD, using Cu Kα (λ = 1.5418 Å).
Kinematic intensities with the Lorentz-polarization factor, no thermal factor.

Structural model:
Unit cell a=5.2382 b=9.0633 c=8.9381 alpha=90.00 beta=101.06 gamma=90.00
Space group C2/c (No. 15)
Symmetry-distinct sites (fractional):
Ir 0.0000 0.0830 0.2500 x4
Ir 0.0000 0.2507 0.7500 x4
O 0.0794 0.0836 0.6333 x8
O 0.1532 0.2247 0.1330 x8
O 0.1533 0.3914 0.6314 x8

Largest 6 diffraction maxima, by angle, 10° ≤ 2θ ≤ 80°:
2θ = 19.9°, intensity 441, hkl 1 1 0; 2θ = 20.2°, intensity 1000, hkl 0 0 2; 2θ = 22.1°, intensity 335, hkl 0 2 1; 2θ = 34.9°, intensity 714, hkl 1 3 -1; 2θ = 37.0°, intensity 367, hkl 1 3 1; 2θ = 44.3°, intensity 376, hkl 1 3 -3

The following is a simulated XRD peak list of SmYSc2Bi2. It was derived from the GGA-PBE geometry in OQMD, using Cu Kα (λ = 1.5418 Å).
Kinematic intensities with the Lorentz-polarization factor, no thermal factor.

Structural model:
Unit cell a=4.4406 b=4.4406 c=16.6700 alpha=90.00 beta=90.00 gamma=90.00
Space group I4mm (No. 107)
Symmetry-distinct sites (fractional):
Sm 0.0000 0.0000 0.0000 x2
Y 0.0000 0.0000 0.3523 x2
Sc 0.0000 0.5000 0.1767 x4
Bi 0.0000 0.0000 0.5466 x2
Bi 0.0000 0.0000 0.8060 x2

Largest 6 diffraction maxima, by angle, 10° ≤ 2θ ≤ 80°:
2θ = 20.7°, intensity 390, hkl 1 0 1; 2θ = 21.3°, intensity 420, hkl 0 0 4; 2θ = 28.4°, intensity 886, hkl 1 1 0; 2θ = 33.6°, intensity 655, hkl 1 0 5; 2θ = 35.8°, intensity 1000, hkl 1 1 4; 2θ = 40.6°, intensity 598, hkl 2 0 0

The following is a simulated XRD peak list of Tb2SmGe4Pt4. It was derived from the GGA-PBE geometry in OQMD, using Cu Kα (λ = 1.5418 Å).
Kinematic intensities with the Lorentz-polarization factor, no thermal factor.

Structural model:
Unit cell a=4.2088 b=7.1561 c=13.9693 alpha=90.00 beta=90.00 gamma=90.00
Space group Immm (No. 71)
Symmetry-distinct sites (fractional):
Tb 0.0000 0.0000 0.1258 x4
Sm 0.0000 0.5000 0.0000 x2
Ge 0.0000 0.3130 0.5000 x4
Ge 0.0000 0.5000 0.2187 x4
Pt 0.0000 0.2031 0.3253 x8

Largest 6 diffraction maxima, by angle, 10° ≤ 2θ ≤ 80°:
2θ = 33.5°, intensity 1000, hkl 1 2 1; 2θ = 35.7°, intensity 650, hkl 1 1 4; 2θ = 38.3°, intensity 531, hkl 1 2 3; 2θ = 38.7°, intensity 470, hkl 0 0 6; 2θ = 42.6°, intensity 422, hkl 0 3 3; 2θ = 43.0°, intensity 466, hkl 2 0 0

The following is a simulated XRD peak list of PrDyP2Ir2O2. It was derived from the GGA-PBE geometry in OQMD, using Cu Kα (λ = 1.5418 Å).
Kinematic intensities with the Lorentz-polarization factor, no thermal factor.

Structural model:
Unit cell a=3.9805 b=3.9805 c=8.2123 alpha=90.00 beta=90.00 gamma=90.00
Space group P4mm (No. 99)
Symmetry-distinct sites (fractional):
Pr 0.0000 0.0000 0.0000 x1
Dy 0.5000 0.5000 0.7190 x1
P 0.0000 0.0000 0.5190 x1
P 0.5000 0.5000 0.2014 x1
Ir 0.0000 0.5000 0.3609 x2
O 0.0000 0.5000 0.8469 x2

Largest 6 diffraction maxima, by angle, 10° ≤ 2θ ≤ 80°:
2θ = 10.8°, intensity 479, hkl 0 0 1; 2θ = 31.3°, intensity 600, hkl 1 0 2; 2θ = 33.7°, intensity 1000, hkl 1 1 1; 2θ = 38.8°, intensity 658, hkl 1 1 2; 2θ = 45.6°, intensity 508, hkl 2 0 0; 2θ = 55.4°, intensity 504, hkl 1 1 4

The following is a simulated XRD peak list of ErH4I3O11. It was derived from the GGA-PBE geometry in OQMD, using Cu Kα (λ = 1.5418 Å).
Kinematic intensities with the Lorentz-polarization factor, no thermal factor.

Structural model:
Unit cell a=7.2026 b=7.3123 c=9.1190 alpha=80.29 beta=84.42 gamma=71.36
Space group P-1 (No. 2)
Symmetry-distinct sites (fractional):
Er 0.2240 0.1670 0.1775 x2
H 0.0125 0.5857 0.1314 x2
H 0.1937 0.5554 0.2362 x2
H 0.3173 0.0761 0.4858 x2
H 0.3277 0.2930 0.4523 x2
I 0.1638 0.7577 0.4928 x2
I 0.2377 0.8997 0.8647 x2
I 0.4052 0.3442 0.8025 x2
O 0.0679 0.9816 0.3522 x2
O 0.1187 0.7143 0.8542 x2
O 0.1329 0.4907 0.1761 x2
O 0.1888 0.9155 0.0651 x2
O 0.2077 0.2765 0.9261 x2
O 0.2604 0.4368 0.6379 x2
O 0.2657 0.2043 0.4223 x2
O 0.3210 0.6086 0.3546 x2
O 0.3445 0.8319 0.5745 x2
O 0.4892 0.7333 0.8874 x2
O 0.4943 0.9078 0.2373 x2

Largest 6 diffraction maxima, by angle, 10° ≤ 2θ ≤ 80°:
2θ = 16.8°, intensity 1000, hkl 1 1 1; 2θ = 26.1°, intensity 502, hkl 2 0 0; 2θ = 28.4°, intensity 779, hkl 2 1 -1; 2θ = 29.2°, intensity 586, hkl 0 2 -1; 2θ = 29.9°, intensity 889, hkl 0 0 3; 2θ = 33.9°, intensity 576, hkl 2 2 -1

The following is a simulated XRD peak list of Li4TaSnO6. It was derived from the GGA-PBE geometry in OQMD, using Cu Kα (λ = 1.5418 Å).
Kinematic intensities with the Lorentz-polarization factor, no thermal factor.

Structural model:
Unit cell a=5.4121 b=9.3327 c=5.1890 alpha=90.00 beta=110.67 gamma=90.00
Space group C2 (No. 5)
Symmetry-distinct sites (fractional):
Li 0.0000 0.0000 0.0000 x2
Li 0.0000 0.1553 0.5000 x2
Li 0.0000 0.5051 0.5000 x2
Li 0.0000 0.8424 0.5000 x2
Ta 0.0000 0.6669 0.0000 x2
Sn 0.0000 0.3325 0.0000 x2
O 0.2308 0.6648 0.7693 x4
O 0.2323 0.5109 0.2418 x4
O 0.2347 0.8193 0.2389 x4

Largest 6 diffraction maxima, by angle, 10° ≤ 2θ ≤ 80°:
2θ = 18.3°, intensity 1000, hkl 0 0 1; 2θ = 19.9°, intensity 463, hkl 1 1 0; 2θ = 22.5°, intensity 341, hkl 1 1 -1; 2θ = 33.8°, intensity 411, hkl 1 3 0; 2θ = 35.5°, intensity 328, hkl 1 3 -1; 2θ = 41.7°, intensity 478, hkl 1 3 1